The following is a computed X-ray diffraction stick pattern of Pr2NdBr6. It was derived from a DFT-relaxed cell (GGA-PBE, Alexandria), using Cu Kα.

Crystal structure
```
data_Pr2NdBr6
_cell_length_a 15.1444
_cell_length_b 3.8651
_cell_length_c 12.3782
_cell_angle_alpha 90.00
_cell_angle_beta 115.24
_cell_angle_gamma 90.00
_symmetry_space_group_name_H-M 'C 1 2/m 1'
_symmetry_Int_Tables_number 12
loop_
_symmetry_equiv_pos_as_xyz
'x,y,z'
'-x,-y,-z'
'-x,y,-z'
'x,-y,z'
'x+1/2,y+1/2,z'
'-x+1/2,-y+1/2,-z'
'-x+1/2,y+1/2,-z'
'x+1/2,-y+1/2,z'
loop_
_atom_site_label
_atom_site_type_symbol
_atom_site_fract_x
_atom_site_fract_y
_atom_site_fract_z
Pr1 Pr 0.1817 0.0000 0.3071
Nd1 Nd 0.0000 0.5000 0.0000
Br1 Br 0.0122 0.5000 0.2445
Br2 Br 0.1571 0.0000 0.5406
Br3 Br 0.2141 0.5000 0.1346
```

Main lines, sorted by position (15° ≤ 2θ ≤ 90°):
2θ = 24.32°, rel. 14; 2θ = 26.09°, rel. 38; 2θ = 28.86°, rel. 43; 2θ = 30.32°, rel. 100; 2θ = 31.95°, rel. 21; 2θ = 37.72°, rel. 32; 2θ = 38.22°, rel. 28; 2θ = 39.47°, rel. 15; 2θ = 42.61°, rel. 22; 2θ = 44.05°, rel. 13; 2θ = 47.02°, rel. 18; 2θ = 56.11°, rel. 13